(1)
# Pm2Al3In
Calculated PXRD pattern, Cu Kα. Input: a crystal structure in Alexandria, relaxed with GGA-PBE.
No peak broadening, texture or thermal motion is included.

Crystal structure
Unit cell a=9.3255 b=8.9051 c=5.9790 alpha=74.71 beta=67.09 gamma=38.20
Fractional positions:
Pm 0.2500 0.2500 0.2500
Pm 0.2499 0.7501 0.7501
Pm 0.7501 0.2499 0.2499
Pm 0.7500 0.7500 0.7500
Al 0.1632 0.1632 0.8368
Al 0.1629 0.6735 0.3265
Al 0.3265 0.8371 0.1629
Al 0.6735 0.1629 0.8371
Al 0.8371 0.3265 0.6735
Al 0.8368 0.8368 0.1632
In 0.3334 0.3334 0.6666
In 0.6666 0.6666 0.3334

Principal peaks in the range 2θ = 10–80°, sorted by position:
22.02°, 4.037 Å, intensity 32.5; 22.46°, 3.959 Å, intensity 8.9; 32.60°, 2.746 Å, intensity 100.0; 38.63°, 2.331 Å, intensity 49.2; 44.91°, 2.018 Å, intensity 5.1; 48.59°, 1.874 Å, intensity 8.4; 51.42°, 1.777 Å, intensity 27.4; 53.95°, 1.700 Å, intensity 6.0; 60.70°, 1.526 Å, intensity 4.2; 63.73°, 1.460 Å, intensity 22.2; 66.12°, 1.413 Å, intensity 25.6; 69.91°, 1.346 Å, intensity 8.6

---

(2)
# HoTh2Ru2
Calculated PXRD pattern, Cu Kα. Input: a crystal structure in Alexandria, relaxed with GGA-PBE.
No peak broadening, texture or thermal motion is included.

Crystal structure
Unit cell a=9.6304 b=7.5752 c=6.8936 alpha=90.00 beta=106.71 gamma=90.00
Fractional positions:
Ho 0.0826 0.1969 0.0380
Ho 0.0826 0.3031 0.5380
Ho 0.9174 0.6969 0.4620
Ho 0.9174 0.8031 0.9620
Th 0.2333 0.6242 0.2521
Th 0.2333 0.8758 0.7521
Th 0.4274 0.2195 0.4778
Th 0.4274 0.2805 0.9778
Th 0.5726 0.7195 0.0222
Th 0.5726 0.7805 0.5222
Th 0.7667 0.1242 0.2479
Th 0.7667 0.3758 0.7479
Ru 0.1041 0.5401 0.8608
Ru 0.1041 0.9599 0.3608
Ru 0.3643 0.5350 0.6890
Ru 0.3643 0.9650 0.1890
Ru 0.6357 0.0350 0.8110
Ru 0.6357 0.4650 0.3110
Ru 0.8959 0.0401 0.6392
Ru 0.8959 0.4599 0.1392

Principal peaks in the range 2θ = 10–80°, sorted by position:
28.36°, 3.147 Å, intensity 38.0; 30.69°, 2.913 Å, intensity 59.0; 31.08°, 2.877 Å, intensity 70.9; 31.40°, 2.849 Å, intensity 100.0; 33.51°, 2.674 Å, intensity 83.3; 36.09°, 2.489 Å, intensity 47.5; 36.91°, 2.435 Å, intensity 39.9; 37.14°, 2.421 Å, intensity 53.2; 37.80°, 2.380 Å, intensity 31.1; 40.44°, 2.231 Å, intensity 55.9; 41.10°, 2.196 Å, intensity 30.3; 50.71°, 1.800 Å, intensity 26.8

---

(3)
# CaHoEr4S8
Calculated PXRD pattern, Cu Kα. Input: a crystal structure in Alexandria, relaxed with GGA-PBE.
No peak broadening, texture or thermal motion is included.

Crystal structure
Unit cell a=8.0321 b=8.0321 c=8.0321 alpha=59.94 beta=59.94 gamma=59.94
Fractional positions:
Ca 0.0000 0.0000 0.0000
Ho 0.3728 0.3728 0.3728
Er 0.3729 0.3729 0.8809
Er 0.3729 0.8809 0.3729
Er 0.7498 0.7498 0.7498
Er 0.8809 0.3729 0.3729
S 0.1350 0.1350 0.5926
S 0.1350 0.5926 0.1350
S 0.1358 0.1358 0.1358
S 0.1480 0.6177 0.6177
S 0.5926 0.1350 0.1350
S 0.6170 0.6170 0.6170
S 0.6177 0.1480 0.6177
S 0.6177 0.6177 0.1480

Principal peaks in the range 2θ = 10–80°, sorted by position:
13.51°, 6.556 Å, intensity 32.2; 22.14°, 4.014 Å, intensity 15.0; 26.03°, 3.423 Å, intensity 100.0; 27.21°, 3.278 Å, intensity 21.7; 31.52°, 2.839 Å, intensity 34.4; 41.32°, 2.185 Å, intensity 45.4; 45.17°, 2.007 Å, intensity 61.4; 52.88°, 1.732 Å, intensity 14.4; 53.54°, 1.712 Å, intensity 12.4; 62.87°, 1.478 Å, intensity 23.8; 65.80°, 1.419 Å, intensity 9.6; 74.79°, 1.269 Å, intensity 10.0

---

(4)
# Cd3Au8
Calculated PXRD pattern, Cu Kα. Input: a crystal structure in Alexandria, relaxed with GGA-PBE.
No peak broadening, texture or thermal motion is included.

Crystal structure
Unit cell a=5.2129 b=5.2129 c=10.8479 alpha=104.41 beta=104.41 gamma=46.45
Fractional positions:
Cd 0.0000 0.0000 0.0000
Cd 0.0964 0.0964 0.6390
Cd 0.9036 0.9036 0.3610
Au 0.1806 0.1806 0.2721
Au 0.2734 0.2734 0.9107
Au 0.3675 0.3675 0.5478
Au 0.4547 0.4547 0.1817
Au 0.5453 0.5453 0.8183
Au 0.6325 0.6325 0.4522
Au 0.7266 0.7266 0.0893
Au 0.8194 0.8194 0.7279

Principal peaks in the range 2θ = 10–80°, sorted by position:
36.83°, 2.440 Å, intensity 100.0; 37.10°, 2.423 Å, intensity 97.9; 42.39°, 2.132 Å, intensity 67.6; 44.05°, 2.056 Å, intensity 30.4; 61.12°, 1.516 Å, intensity 11.7; 62.78°, 1.480 Å, intensity 42.3; 73.71°, 1.285 Å, intensity 26.6; 74.22°, 1.278 Å, intensity 26.1; 76.24°, 1.249 Å, intensity 12.3; 76.40°, 1.247 Å, intensity 12.2; 78.37°, 1.220 Å, intensity 11.4; 79.03°, 1.212 Å, intensity 11.1